This entry pairs a crystal structure of GdGaNiPt with its calculated X-ray diffraction stick pattern. Radiation: Cu Ka. Structure: a crystal structure in OQMD, relaxed with PBE.
Kinematic intensities with the Lorentz-polarization factor, no thermal factor.

Principal peaks in the range 15° ≤ 2θ ≤ 90°, low angle first:
- hkl 0 0 2, 2θ = 19.58°, I = 10.9
- hkl 1 0 0, 2θ = 23.90°, I = 23.9
- hkl 1 0 1, 2θ = 25.86°, I = 23.4
- hkl 1 0 2, 2θ = 31.08°, I = 12.3
- hkl 1 0 3, 2θ = 38.35°, I = 100.0
- hkl 1 1 0, 2θ = 42.03°, I = 73.3
- hkl 2 0 3, 2θ = 58.19°, I = 29.6
- hkl 1 0 6, 2θ = 66.79°, I = 11.2
- hkl 2 1 3, 2θ = 74.34°, I = 28.6
- hkl 3 0 0, 2θ = 76.79°, I = 12.3

```
GdGaNiPt
1.0
4.2998 0.0000 0.0000
-2.1499 3.7238 0.0000
0.0000 0.0000 9.0696
Gd Ga Ni Pt
2 2 2 2
direct
0.3333 0.6667 0.0000
0.6667 0.3333 0.5000
0.0000 0.0000 0.2431
0.0000 0.0000 0.7431
0.3333 0.6667 0.6813
0.6667 0.3333 0.1813
0.3333 0.6667 0.3244
0.6667 0.3333 0.8244
```